Entry 1:
For LiCdHg2Pb, a DFT-relaxed cell (PBE, Alexandria) gives the computed X-ray diffraction stick pattern in this record (Cu Kα X-rays).
Neutral-atom scattering factors, no anomalous dispersion.

Main lines, by angle (2θ = 10–80°):
13.6 deg, rel. 34, (0 0 1)
25.2 deg, rel. 100, (0 1 1)
34.9 deg, rel. 92, (0 1 2)
36.9 deg, rel. 93, (1 1 0)
45.2 deg, rel. 22, (2 0 1)
47.2 deg, rel. 29, (1 0 3)
51.7 deg, rel. 30, (2 0 2)
59.7 deg, rel. 19, (1 2 1)
65.2 deg, rel. 31, (1 2 2)
66.5 deg, rel. 17, (3 0 0)

Cell and atoms:
```
data_LiCdHg2Pb
_chemical_formula_sum 'Li1 Cd1 Hg2 Pb1'
_space_group_name_H-M_alt 'P 3 m 1'
_space_group_IT_number 156
_cell_length_a 4.8701
_cell_length_b 4.8701
_cell_length_c 6.4910
_cell_angle_alpha 90.00
_cell_angle_beta 90.00
_cell_angle_gamma 120.00
loop_
_space_group_symop_operation_xyz
'x,y,z'
'-y,x-y,z'
'-x+y,-x,z'
'-y,-x,z'
'-x+y,y,z'
'x,x-y,z'
loop_
_atom_site_label
_atom_site_fract_x
_atom_site_fract_y
_atom_site_fract_z
Li1 0.0000 0.0000 0.0000
Cd1 0.3333 0.6667 0.6785
Hg1 0.0000 0.0000 0.5524
Hg2 0.3333 0.6667 0.1236
Pb1 0.6667 0.3333 0.3160
```


Entry 2:
For LiCdHg2Pb2, a DFT-relaxed cell (PBE, Alexandria) gives the computed X-ray diffraction stick pattern in this record (Cu Kα X-rays).
Neutral-atom scattering factors, no anomalous dispersion.

Main lines, by angle (2θ = 10–80°):
26.9 deg, rel. 26, (1 2 0)
31.6 deg, rel. 19, (0 2 2)
32.5 deg, rel. 100, (1 0 2)
34.0 deg, rel. 74, (1 3 0)
37.9 deg, rel. 53, (0 3 2)
39.9 deg, rel. 33, (2 0 0)
52.6 deg, rel. 14, (0 0 4)
56.2 deg, rel. 34, (2 3 2)
58.0 deg, rel. 16, (1 5 2)
64.2 deg, rel. 20, (1 3 4)

Cell and atoms:
```
data_LiCdHg2Pb2
_chemical_formula_sum 'Li2 Cd2 Hg4 Pb4'
_space_group_name_H-M_alt 'P m c 21'
_space_group_IT_number 26
_cell_length_a 4.517
_cell_length_b 9.737
_cell_length_c 6.956
_cell_angle_alpha 90.00
_cell_angle_beta 90.00
_cell_angle_gamma 90.00
loop_
_space_group_symop_operation_xyz
'x,y,z'
'-x,-y,z+1/2'
'-x,y,z'
'x,-y,z+1/2'
loop_
_atom_site_label
_atom_site_fract_x
_atom_site_fract_y
_atom_site_fract_z
Li1 0.000 0.172 0.000
Cd1 0.500 0.008 0.233
Hg1 0.000 0.123 0.477
Hg2 0.500 0.314 0.189
Pb1 0.000 0.486 0.442
Pb2 0.500 0.315 0.708
```


Entry 3:
For Li2PrCd2Hg2, a DFT-relaxed cell (PBE, Alexandria) gives the computed X-ray diffraction stick pattern in this record (Cu Kα X-rays).
Neutral-atom scattering factors, no anomalous dispersion.

Main lines, by angle (2θ = 10–80°):
21.1 deg, rel. 33, (1 0 1)
23.9 deg, rel. 27, (0 0 6)
26.2 deg, rel. 21, (1 0 4)
28.9 deg, rel. 27, (0 1 5)
35.1 deg, rel. 87, (1 0 7)
36.4 deg, rel. 100, (1 1 0)
44.0 deg, rel. 33, (1 1 6)
51.4 deg, rel. 30, (0 2 7)
62.4 deg, rel. 19, (1 1 12)
64.6 deg, rel. 30, (2 1 7)

Cell and atoms:
```
data_Li2PrCd2Hg2
_chemical_formula_sum 'Li6 Pr3 Cd6 Hg6'
_space_group_name_H-M_alt 'R -3 m'
_space_group_IT_number 166
_space_group_name_Hall '-R 3 2"'
_cell_length_a 4.9421
_cell_length_b 4.9421
_cell_length_c 22.3567
_cell_angle_alpha 90.00
_cell_angle_beta 90.00
_cell_angle_gamma 120.00
loop_
_atom_site_label
_atom_site_fract_x
_atom_site_fract_y
_atom_site_fract_z
Li1 0.0000 0.0000 0.1444
Pr1 0.0000 0.0000 0.0000
Cd1 0.0000 0.0000 0.2656
Hg1 0.0000 0.0000 0.4263
```


Copy entry 2 word for word.
For LiCdHg2Pb2, a DFT-relaxed cell (PBE, Alexandria) gives the computed X-ray diffraction stick pattern in this record (Cu Kα X-rays).
Neutral-atom scattering factors, no anomalous dispersion.

Main lines, by angle (2θ = 10–80°):
26.9 deg, rel. 26, (1 2 0)
31.6 deg, rel. 19, (0 2 2)
32.5 deg, rel. 100, (1 0 2)
34.0 deg, rel. 74, (1 3 0)
37.9 deg, rel. 53, (0 3 2)
39.9 deg, rel. 33, (2 0 0)
52.6 deg, rel. 14, (0 0 4)
56.2 deg, rel. 34, (2 3 2)
58.0 deg, rel. 16, (1 5 2)
64.2 deg, rel. 20, (1 3 4)

Cell and atoms:
```
data_LiCdHg2Pb2
_chemical_formula_sum 'Li2 Cd2 Hg4 Pb4'
_space_group_name_H-M_alt 'P m c 21'
_space_group_IT_number 26
_cell_length_a 4.517
_cell_length_b 9.737
_cell_length_c 6.956
_cell_angle_alpha 90.00
_cell_angle_beta 90.00
_cell_angle_gamma 90.00
loop_
_space_group_symop_operation_xyz
'x,y,z'
'-x,-y,z+1/2'
'-x,y,z'
'x,-y,z+1/2'
loop_
_atom_site_label
_atom_site_fract_x
_atom_site_fract_y
_atom_site_fract_z
Li1 0.000 0.172 0.000
Cd1 0.500 0.008 0.233
Hg1 0.000 0.123 0.477
Hg2 0.500 0.314 0.189
Pb1 0.000 0.486 0.442
Pb2 0.500 0.315 0.708
```